Starting from a DFT-relaxed cell (GGA-PBE, OQMD), the X-ray powder pattern of GaCu6Au was calculated for a wavelength of 1.5418 Å.
Kinematic intensities with the Lorentz-polarization factor, no thermal factor.

Most intense lines, 2θ = 15–90°, low angle first:
| 2theta | d [Å] | Rel. int. |
| --- | --- | --- |
| 19.31 | 4.596 | 16 |
| 28.31 | 3.153 | 19 |
| 39.21 | 2.298 | 27 |
| 41.69 | 2.167 | 27 |
| 44.64 | 2.030 | 100 |
| 58.56 | 1.576 | 16 |
| 78.16 | 1.223 | 20 |
| 85.91 | 1.131 | 18 |

Crystal structure
```
data_GaCu6Au
_space_group_name_H-M_alt 'P -6 m 2'
_space_group_IT_number 187
_space_group_name_Hall 'P -6 2'
_cell_length_a 5.3066
_cell_length_b 5.3066
_cell_length_c 4.3331
_cell_angle_alpha 90.00
_cell_angle_beta 90.00
_cell_angle_gamma 120.00
loop_
_atom_site_label
_atom_site_fract_x
_atom_site_fract_y
_atom_site_fract_z
Ga1 0.0000 0.0000 0.0000
Cu1 0.0118 0.5059 0.0000
Cu2 0.1679 0.3357 0.5000
Au1 0.6667 0.3333 0.5000
```


Starting from a DFT-relaxed cell (GGA-PBE, OQMD), the X-ray powder pattern of Pd3Se2Cl2O6 was calculated for a wavelength of 1.5418 Å.
Kinematic intensities with the Lorentz-polarization factor, no thermal factor.

Most intense lines, 2θ = 15–90°, low angle first:
| 2theta | d [Å] | Rel. int. |
| --- | --- | --- |
| 25.48 | 3.496 | 34 |
| 27.93 | 3.194 | 100 |
| 29.02 | 3.077 | 90 |
| 35.19 | 2.551 | 77 |
| 38.39 | 2.345 | 40 |
| 40.72 | 2.216 | 44 |
| 53.16 | 1.723 | 31 |
| 54.25 | 1.691 | 29 |

Crystal structure
```
data_Pd3Se2Cl2O6
_space_group_name_H-M_alt 'C 1 2/m 1'
_space_group_IT_number 12
_cell_length_a 9.0852
_cell_length_b 6.3881
_cell_length_c 7.6287
_cell_angle_alpha 90.00
_cell_angle_beta 113.58
_cell_angle_gamma 90.00
loop_
_space_group_symop_operation_xyz
'x,y,z'
'-x,-y,-z'
'-x,y,-z'
'x,-y,z'
'x+1/2,y+1/2,z'
'-x+1/2,-y+1/2,-z'
'-x+1/2,y+1/2,-z'
'x+1/2,-y+1/2,z'
loop_
_atom_site_label
_atom_site_fract_x
_atom_site_fract_y
_atom_site_fract_z
Pd1 0.0000 0.0000 0.0000
Pd2 0.0570 0.5000 0.7850
Se1 0.1588 0.0000 0.7109
Cl1 0.2226 0.5000 0.6289
O1 0.0732 0.1861 0.8190
O2 0.1439 0.5000 0.1357
```


Starting from a DFT-relaxed cell (GGA-PBE, OQMD), the X-ray powder pattern of La2Mg3AlPt2 was calculated for a wavelength of 1.5418 Å.
Kinematic intensities with the Lorentz-polarization factor, no thermal factor.

Most intense lines, 2θ = 15–90°, low angle first:
| 2theta | d [Å] | Rel. int. |
| --- | --- | --- |
| 22.10 | 4.023 | 100 |
| 24.75 | 3.597 | 40 |
| 31.51 | 2.839 | 30 |
| 34.80 | 2.578 | 50 |
| 34.95 | 2.567 | 47 |
| 36.37 | 2.470 | 19 |
| 41.44 | 2.179 | 29 |
| 47.47 | 1.915 | 39 |

Crystal structure
```
data_La2Mg3AlPt2
_space_group_name_H-M_alt 'C 1 m 1'
_space_group_IT_number 8
_cell_length_a 10.4127
_cell_length_b 4.3583
_cell_length_c 8.0476
_cell_angle_alpha 90.00
_cell_angle_beta 90.50
_cell_angle_gamma 90.00
loop_
_space_group_symop_operation_xyz
'x,y,z'
'x,-y,z'
'x+1/2,y+1/2,z'
'x+1/2,-y+1/2,z'
loop_
_atom_site_label
_atom_site_fract_x
_atom_site_fract_y
_atom_site_fract_z
La1 0.0000 0.0000 0.0000
La2 0.1216 0.0000 0.5158
Mg1 0.2155 0.5000 0.1979
Mg2 0.4047 0.0000 0.3069
Mg3 0.4084 0.0000 0.6981
Al1 0.2176 0.5000 0.8109
Pt1 0.2788 0.0000 0.9891
Pt2 0.3316 0.5000 0.5150
```


Starting from a DFT-relaxed cell (GGA-PBE, OQMD), the X-ray powder pattern of PrHoAg2As4 was calculated for a wavelength of 1.5418 Å.
Kinematic intensities with the Lorentz-polarization factor, no thermal factor.

Most intense lines, 2θ = 15–90°, low angle first:
| 2theta | d [Å] | Rel. int. |
| --- | --- | --- |
| 23.63 | 3.765 | 12 |
| 27.94 | 3.193 | 13 |
| 34.37 | 2.610 | 18 |
| 35.85 | 2.505 | 100 |
| 44.90 | 2.019 | 31 |
| 57.73 | 1.597 | 20 |
| 62.54 | 1.485 | 13 |
| 76.88 | 1.240 | 21 |

Crystal structure
```
data_PrHoAg2As4
_space_group_name_H-M_alt 'P 4 m m'
_space_group_IT_number 99
_cell_length_a 4.0372
_cell_length_b 4.0372
_cell_length_c 10.4381
_cell_angle_alpha 90.00
_cell_angle_beta 90.00
_cell_angle_gamma 90.00
loop_
_space_group_symop_operation_xyz
'x,y,z'
'-y,x,z'
'-x,-y,z'
'y,-x,z'
'-x,y,z'
'y,x,z'
'x,-y,z'
'-y,-x,z'
loop_
_atom_site_label
_atom_site_fract_x
_atom_site_fract_y
_atom_site_fract_z
Pr1 0.0000 0.0000 0.0000
Ho1 0.5000 0.5000 0.4537
Ag1 0.0000 0.5000 0.7199
As1 0.0000 0.0000 0.5358
As2 0.0000 0.5000 0.2339
As3 0.5000 0.5000 0.9025
```


Starting from a DFT-relaxed cell (GGA-PBE, OQMD), the X-ray powder pattern of PtAu5 was calculated for a wavelength of 1.5418 Å.
Kinematic intensities with the Lorentz-polarization factor, no thermal factor.

Most intense lines, 2θ = 15–90°, low angle first:
| 2theta | d [Å] | Rel. int. |
| --- | --- | --- |
| 33.24 | 2.695 | 26 |
| 39.20 | 2.298 | 100 |
| 41.02 | 2.200 | 41 |
| 59.40 | 1.556 | 10 |
| 63.41 | 1.467 | 33 |
| 69.79 | 1.348 | 29 |
| 83.09 | 1.162 | 12 |
| 84.27 | 1.149 | 16 |

Crystal structure
```
data_PtAu5
_space_group_name_H-M_alt 'F -4 3 m'
_space_group_IT_number 216
_space_group_name_Hall 'F -4 2 3'
_cell_length_a 7.6226
_cell_length_b 7.6226
_cell_length_c 7.6226
_cell_angle_alpha 90.00
_cell_angle_beta 90.00
_cell_angle_gamma 90.00
loop_
_atom_site_label
_atom_site_fract_x
_atom_site_fract_y
_atom_site_fract_z
Pt1 0.0000 0.0000 0.0000
Au1 0.1250 0.1250 0.6250
Au2 0.2500 0.2500 0.2500
```


Starting from a DFT-relaxed cell (GGA-PBE, OQMD), the X-ray powder pattern of PrDyZr2Sb2 was calculated for a wavelength of 1.5418 Å.
Kinematic intensities with the Lorentz-polarization factor, no thermal factor.

Most intense lines, 2θ = 15–90°, low angle first:
| 2theta | d [Å] | Rel. int. |
| --- | --- | --- |
| 29.22 | 3.057 | 44 |
| 31.11 | 2.875 | 86 |
| 31.72 | 2.821 | 36 |
| 33.63 | 2.665 | 66 |
| 36.26 | 2.478 | 100 |
| 41.79 | 2.161 | 69 |
| 53.40 | 1.716 | 32 |
| 54.67 | 1.679 | 33 |

Crystal structure
```
data_PrDyZr2Sb2
_space_group_name_H-M_alt 'I 4 m m'
_space_group_IT_number 107
_space_group_name_Hall 'I 4 -2'
_cell_length_a 4.3228
_cell_length_b 4.3228
_cell_length_c 16.9243
_cell_angle_alpha 90.00
_cell_angle_beta 90.00
_cell_angle_gamma 90.00
loop_
_atom_site_label
_atom_site_fract_x
_atom_site_fract_y
_atom_site_fract_z
Pr1 0.0000 0.0000 0.0000
Dy1 0.0000 0.0000 0.3538
Zr1 0.0000 0.5000 0.1799
Sb1 0.0000 0.0000 0.5501
Sb2 0.0000 0.0000 0.8090
```


Starting from a DFT-relaxed cell (GGA-PBE, OQMD), the X-ray powder pattern of HgAuS was calculated for a wavelength of 1.5418 Å.
Kinematic intensities with the Lorentz-polarization factor, no thermal factor.

Most intense lines, 2θ = 15–90°, low angle first:
| 2theta | d [Å] | Rel. int. |
| --- | --- | --- |
| 26.96 | 3.307 | 75 |
| 27.12 | 3.288 | 58 |
| 28.05 | 3.181 | 90 |
| 28.28 | 3.156 | 90 |
| 30.73 | 2.910 | 100 |
| 36.97 | 2.432 | 56 |
| 38.04 | 2.366 | 37 |
| 50.56 | 1.805 | 39 |

Crystal structure
```
data_HgAuS
_space_group_name_H-M_alt 'P -1'
_space_group_IT_number 2
_cell_length_a 4.8824
_cell_length_b 4.8895
_cell_length_c 7.2904
_cell_angle_alpha 106.24
_cell_angle_beta 106.97
_cell_angle_gamma 95.32
loop_
_space_group_symop_operation_xyz
'x,y,z'
'-x,-y,-z'
loop_
_atom_site_label
_atom_site_fract_x
_atom_site_fract_y
_atom_site_fract_z
Hg1 0.1108 0.1096 0.3834
Au1 0.0000 0.5000 0.0000
Au2 0.5000 0.0000 0.0000
S1 0.3787 0.3749 0.2227
```


Starting from a DFT-relaxed cell (GGA-PBE, OQMD), the X-ray powder pattern of Ga2Ir2O5 was calculated for a wavelength of 1.5418 Å.
Kinematic intensities with the Lorentz-polarization factor, no thermal factor.

Most intense lines, 2θ = 15–90°, low angle first:
| 2theta | d [Å] | Rel. int. |
| --- | --- | --- |
| 22.10 | 4.022 | 15 |
| 25.42 | 3.505 | 18 |
| 33.93 | 2.642 | 100 |
| 36.25 | 2.478 | 37 |
| 42.86 | 2.110 | 15 |
| 52.20 | 1.752 | 21 |
| 59.17 | 1.562 | 26 |
| 63.73 | 1.460 | 33 |

Crystal structure
```
data_Ga2Ir2O5
_space_group_name_H-M_alt 'P 4/m m m'
_space_group_IT_number 123
_space_group_name_Hall '-P 4 2'
_cell_length_a 3.5046
_cell_length_b 3.5046
_cell_length_c 8.0438
_cell_angle_alpha 90.00
_cell_angle_beta 90.00
_cell_angle_gamma 90.00
loop_
_atom_site_label
_atom_site_fract_x
_atom_site_fract_y
_atom_site_fract_z
Ga1 0.0000 0.0000 0.2341
Ir1 0.5000 0.5000 0.0000
Ir2 0.5000 0.5000 0.5000
O1 0.0000 0.0000 0.0000
O2 0.0000 0.5000 0.3511
```


Starting from a DFT-relaxed cell (GGA-PBE, OQMD), the X-ray powder pattern of PrErS2F2 was calculated for a wavelength of 1.5418 Å.
Kinematic intensities with the Lorentz-polarization factor, no thermal factor.

Most intense lines, 2θ = 15–90°, low angle first:
| 2theta | d [Å] | Rel. int. |
| --- | --- | --- |
| 26.04 | 3.422 | 31 |
| 26.76 | 3.332 | 100 |
| 33.21 | 2.697 | 51 |
| 42.68 | 2.118 | 56 |
| 46.38 | 1.958 | 35 |
| 47.68 | 1.907 | 27 |
| 55.51 | 1.655 | 28 |
| 68.70 | 1.366 | 21 |

Crystal structure
```
data_PrErS2F2
_space_group_name_H-M_alt 'P 4 m m'
_space_group_IT_number 99
_cell_length_a 3.8146
_cell_length_b 3.8146
_cell_length_c 6.8438
_cell_angle_alpha 90.00
_cell_angle_beta 90.00
_cell_angle_gamma 90.00
loop_
_space_group_symop_operation_xyz
'x,y,z'
'-y,x,z'
'-x,-y,z'
'y,-x,z'
'-x,y,z'
'y,x,z'
'x,-y,z'
'-y,-x,z'
loop_
_atom_site_label
_atom_site_fract_x
_atom_site_fract_y
_atom_site_fract_z
Pr1 0.0000 0.0000 0.0000
Er1 0.5000 0.5000 0.5408
S1 0.0000 0.0000 0.4241
S2 0.5000 0.5000 0.1377
F1 0.0000 0.5000 0.7632
```


Starting from a DFT-relaxed cell (GGA-PBE, OQMD), the X-ray powder pattern of PrNd2B2Pt2N3 was calculated for a wavelength of 1.5418 Å.
Kinematic intensities with the Lorentz-polarization factor, no thermal factor.

Most intense lines, 2θ = 15–90°, low angle first:
| 2theta | d [Å] | Rel. int. |
| --- | --- | --- |
| 26.91 | 3.313 | 34 |
| 32.09 | 2.789 | 31 |
| 34.69 | 2.586 | 100 |
| 37.91 | 2.373 | 50 |
| 42.83 | 2.111 | 31 |
| 48.17 | 1.889 | 32 |
| 60.72 | 1.525 | 29 |
| 81.03 | 1.187 | 24 |

Crystal structure
```
data_PrNd2B2Pt2N3
_space_group_name_H-M_alt 'I 4/m m m'
_space_group_IT_number 139
_space_group_name_Hall '-I 4 2'
_cell_length_a 3.7779
_cell_length_b 3.7779
_cell_length_c 20.6810
_cell_angle_alpha 90.00
_cell_angle_beta 90.00
_cell_angle_gamma 90.00
loop_
_atom_site_label
_atom_site_fract_x
_atom_site_fract_y
_atom_site_fract_z
Pr1 0.0000 0.0000 0.0000
Nd1 0.0000 0.0000 0.3781
B1 0.0000 0.0000 0.1883
Pt1 0.0000 0.5000 0.2500
N1 0.0000 0.0000 0.1189
N2 0.0000 0.0000 0.5000
```


Starting from a DFT-relaxed cell (GGA-PBE, OQMD), the X-ray powder pattern of Rb3Hg2S3ClO12 was calculated for a wavelength of 1.5418 Å.
Kinematic intensities with the Lorentz-polarization factor, no thermal factor.

Most intense lines, 2θ = 15–90°, low angle first:
| 2theta | d [Å] | Rel. int. |
| --- | --- | --- |
| 15.19 | 5.834 | 64 |
| 15.45 | 5.737 | 28 |
| 20.57 | 4.318 | 72 |
| 27.86 | 3.202 | 75 |
| 28.59 | 3.123 | 56 |
| 29.08 | 3.071 | 38 |
| 29.33 | 3.045 | 100 |
| 30.21 | 2.958 | 38 |

Crystal structure
```
data_Rb3Hg2S3ClO12
_space_group_name_H-M_alt 'P 1 21 1'
_space_group_IT_number 4
_cell_length_a 7.7955
_cell_length_b 9.7667
_cell_length_c 9.9107
_cell_angle_alpha 90.00
_cell_angle_beta 111.06
_cell_angle_gamma 90.00
loop_
_space_group_symop_operation_xyz
'x,y,z'
'-x,y+1/2,-z'
loop_
_atom_site_label
_atom_site_fract_x
_atom_site_fract_y
_atom_site_fract_z
Rb1 0.1027 0.0000 0.2673
Rb2 0.3211 0.6293 0.1332
Rb3 0.3300 0.8058 0.6841
Hg1 0.2422 0.1780 0.9542
Hg2 0.2704 0.3985 0.4928
S1 0.0253 0.3460 0.1116
S2 0.0912 0.1408 0.6054
S3 0.4468 0.4588 0.8574
Cl1 0.4851 0.5643 0.4830
O1 0.0122 0.3031 0.9586
O2 0.0131 0.9953 0.8956
O3 0.0356 0.9993 0.5534
O4 0.0500 0.7159 0.3604
O5 0.1091 0.7649 0.8509
O6 0.1263 0.2090 0.4784
O7 0.2178 0.3207 0.2118
O8 0.2636 0.4604 0.7397
O9 0.2712 0.1346 0.7304
O10 0.4099 0.9051 0.1913
O11 0.4387 0.3848 0.9867
O12 0.4860 0.6089 0.9024
```


Starting from a DFT-relaxed cell (GGA-PBE, OQMD), the X-ray powder pattern of IrF3 was calculated for a wavelength of 1.5418 Å.
Kinematic intensities with the Lorentz-polarization factor, no thermal factor.

Most intense lines, 2θ = 15–90°, low angle first:
| 2theta | d [Å] | Rel. int. |
| --- | --- | --- |
| 25.36 | 3.511 | 100 |
| 35.08 | 2.558 | 50 |
| 37.24 | 2.414 | 29 |
| 45.60 | 1.990 | 25 |
| 52.09 | 1.756 | 14 |
| 57.30 | 1.608 | 30 |
| 60.28 | 1.535 | 21 |
| 65.76 | 1.420 | 15 |

Crystal structure
```
data_IrF3
_space_group_name_H-M_alt 'R -3 c'
_space_group_IT_number 167
_space_group_name_Hall '-R 3 2"c'
_cell_length_a 4.8290
_cell_length_b 4.8290
_cell_length_c 12.9311
_cell_angle_alpha 90.00
_cell_angle_beta 90.00
_cell_angle_gamma 120.00
loop_
_atom_site_label
_atom_site_fract_x
_atom_site_fract_y
_atom_site_fract_z
Ir1 0.0000 0.0000 0.0000
F1 0.0000 0.3050 0.2500
```